No. 1
Starting from a cell relaxed with PBE, the powder X-ray diffraction pattern of CdPd4Pt was computed for copper Kα.

Most intense lines, 2θ = 10–80°, by angle:
2theta	I_rel
19.79	6.8
20.99	3.2
24.86	7.8
38.70	100.0
39.26	95.3
42.11	2.5
44.97	64.5
46.01	30.4
64.72	10.8
66.29	49.5
78.38	24.6
79.45	23.1

Structure:
Lattice parameters (Å, degrees): 9.3388 8.9412 4.8852 79.05 70.05 30.90
Sites, in units of the cell vectors:
Cd 0.1250 0.1250 0.1250
Cd 0.8750 0.8750 0.8750
Pd 0.0447 0.0447 0.7053
Pd 0.2117 0.2117 0.5383
Pd 0.2947 0.2947 0.9553
Pd 0.4617 0.4617 0.7883
Pd 0.5383 0.5383 0.2117
Pd 0.7053 0.7053 0.0447
Pd 0.7883 0.7883 0.4617
Pd 0.9553 0.9553 0.2947
Pt 0.3750 0.3750 0.3750
Pt 0.6250 0.6250 0.6250

***

No. 2
Starting from a cell relaxed with PBE, the powder X-ray diffraction pattern of Sr3Ga2Sn2Pt4 was computed for copper Kα.

Most intense lines, 2θ = 10–80°, by angle:
2theta	I_rel
22.12	31.5
22.99	20.4
25.55	53.8
28.45	28.1
32.11	86.6
39.23	19.1
40.38	100.0
40.98	27.9
46.51	27.4
52.50	21.7
57.56	37.7
68.25	19.8

Structure:
Lattice parameters (Å, degrees): 4.4678 4.4678 16.0744 90.00 90.00 120.00
Sites, in units of the cell vectors:
Sr 0.0000 0.0000 0.0000
Sr 0.0000 0.0000 0.2702
Sr 0.0000 0.0000 0.7298
Ga 0.3333 0.6667 0.1365
Ga 0.6667 0.3333 0.8635
Sn 0.3333 0.6667 0.5697
Sn 0.6667 0.3333 0.4303
Pt 0.3333 0.6667 0.3980
Pt 0.3333 0.6667 0.8681
Pt 0.6667 0.3333 0.1319
Pt 0.6667 0.3333 0.6020

***

No. 3
Starting from a cell relaxed with PBE, the powder X-ray diffraction pattern of Ti2Al3Fe4 was computed for copper Kα.

Most intense lines, 2θ = 10–80°, by angle:
2theta	I_rel
11.55	4.4
23.22	2.1
27.51	23.1
43.54	98.1
43.81	100.0
47.48	2.4
52.51	3.4
54.33	2.7
63.48	29.2
66.58	4.8
70.72	2.4
79.75	12.9

Structure:
Lattice parameters (Å, degrees): 4.1330 4.1330 7.6602 90.00 90.00 120.00
Sites, in units of the cell vectors:
Ti 0.3333 0.6667 0.2888
Ti 0.6667 0.3333 0.7112
Al 0.0000 0.0000 0.5000
Al 0.3333 0.6667 0.9263
Al 0.6667 0.3333 0.0737
Fe 0.0000 0.0000 0.1560
Fe 0.0000 0.0000 0.8440
Fe 0.3333 0.6667 0.6075
Fe 0.6667 0.3333 0.3925

***

No. 4
Starting from a cell relaxed with PBE, the powder X-ray diffraction pattern of Pu6HfGe5 was computed for copper Kα.

Most intense lines, 2θ = 10–80°, by angle:
2theta	I_rel
20.89	16.7
27.74	17.5
34.98	100.0
38.80	17.9
40.46	17.4
42.52	14.7
57.25	6.9
58.91	10.4
60.14	10.7
67.79	12.8
70.06	13.7
73.91	10.7

Structure:
Lattice parameters (Å, degrees): 8.4556 8.4556 4.4586 105.23 105.23 60.38
Sites, in units of the cell vectors:
Pu 0.0703 0.5815 0.3261
Pu 0.2366 0.7634 0.0000
Pu 0.4185 0.9297 0.6739
Pu 0.5815 0.0703 0.3261
Pu 0.7634 0.2366 0.0000
Pu 0.9297 0.4185 0.6739
Hf 0.5000 0.5000 0.5000
Ge 0.0000 0.0000 0.5000
Ge 0.1635 0.1635 0.1630
Ge 0.3549 0.3549 0.8548
Ge 0.6451 0.6451 0.1452
Ge 0.8365 0.8365 0.8370

***

No. 5
Starting from a cell relaxed with PBE, the powder X-ray diffraction pattern of AcIn2BiTe4 was computed for copper Kα.

Most intense lines, 2θ = 10–80°, by angle:
2theta	I_rel
11.18	9.9
26.63	100.0
37.56	39.6
38.47	38.0
45.86	7.2
47.41	20.7
54.86	13.1
61.36	18.0
62.63	17.9
67.17	6.5
68.99	13.1
69.59	6.5

Structure:
Lattice parameters (Å, degrees): 8.1088 4.6778 8.3643 90.00 108.86 90.00
Sites, in units of the cell vectors:
Ac 0.0000 0.0000 0.0000
In 0.0000 0.5000 0.5000
In 0.5000 0.0000 0.5000
Bi 0.5000 0.5000 0.0000
Te 0.2538 0.5000 0.2364
Te 0.2656 0.0000 0.7684
Te 0.7344 0.0000 0.2316
Te 0.7462 0.5000 0.7636

***

No. 6
Starting from a cell relaxed with PBE, the powder X-ray diffraction pattern of CrTeHRhAu2 was computed for copper Kα.

Most intense lines, 2θ = 10–80°, by angle:
2theta	I_rel
17.39	26.1
21.73	14.2
24.22	28.9
24.52	27.5
35.20	38.4
35.77	75.7
36.33	56.6
36.94	72.4
39.47	100.0
51.79	20.5
52.02	22.7
55.55	26.9

Structure:
Lattice parameters (Å, degrees): 4.5935 4.6042 5.5698 70.39 70.22 66.16
Sites, in units of the cell vectors:
Cr 0.0000 0.0000 0.0000
Te 0.1685 0.1714 0.3615
H 0.7706 0.7727 0.3324
Rh 0.5738 0.5770 0.2852
Au 0.3930 0.3936 0.8288
Au 0.7678 0.7689 0.7364

***

No. 7
Starting from a cell relaxed with PBE, the powder X-ray diffraction pattern of Zr2Co2Mo was computed for copper Kα.

Most intense lines, 2θ = 10–80°, by angle:
2theta	I_rel
29.64	12.4
35.83	49.5
38.60	100.0
39.99	12.6
44.72	26.9
44.95	38.4
50.55	6.0
61.53	6.8
64.48	12.9
65.28	24.0
66.32	8.0
78.32	11.4

Structure:
Lattice parameters (Å, degrees): 6.3775 6.3775 4.0526 90.00 90.00 90.00
Sites, in units of the cell vectors:
Zr 0.1768 0.3232 0.0000
Zr 0.3232 0.8232 0.0000
Zr 0.6768 0.1768 0.0000
Zr 0.8232 0.6768 0.0000
Co 0.1315 0.6315 0.5000
Co 0.3685 0.1315 0.5000
Co 0.6315 0.8685 0.5000
Co 0.8685 0.3685 0.5000
Mo 0.0000 0.0000 0.5000
Mo 0.5000 0.5000 0.5000

***

No. 8
Starting from a cell relaxed with PBE, the powder X-ray diffraction pattern of GdGe2Au was computed for copper Kα.

Most intense lines, 2θ = 10–80°, by angle:
2theta	I_rel
21.39	14.4
28.51	14.5
35.91	100.0
40.75	35.3
43.57	14.6
46.47	8.0
52.89	5.5
59.00	11.9
61.18	21.3
71.04	27.4
74.98	11.8
76.13	11.3

Structure:
Lattice parameters (Å, degrees): 4.4282 4.4282 4.1549 90.00 90.00 90.00
Sites, in units of the cell vectors:
Gd 0.0000 0.0000 0.0000
Ge 0.0000 0.5000 0.5000
Ge 0.5000 0.0000 0.5000
Au 0.5000 0.5000 0.0000